Starting from a structure optimized by DFT (PBE), the XRD peak list of Hg2Te2Br was calculated for Cu Kα (weighted mean of Kα1 and Kα2).
Intensities are scaled so that the largest is 1000.

Atomic structure:
abc: 4.421 4.421 15.727
angles: 90.00 90.00 90.00
Space group I4/mmm (No. 139)
One atom of each set of equivalent atoms:
Hg1 0.000 0.000 0.089 [4 per cell]
Te1 0.000 0.500 0.250 [4 per cell]
Br1 0.000 0.000 0.500 [2 per cell]

Largest 10 diffraction maxima, by intensity, 5° ≤ 2θ ≤ 70°:
- 30.8 deg, intensity 1000
- 20.9 deg, intensity 648
- 35.0 deg, intensity 590
- 40.8 deg, intensity 488
- 36.7 deg, intensity 420
- 54.8 deg, intensity 330
- 54.3 deg, intensity 251
- 34.2 deg, intensity 230
- 68.1 deg, intensity 203
- 45.3 deg, intensity 185